[1]
The following is a computed powder diffractogram of Mg2SiO4. It was derived from a crystal structure in the Materials Project, relaxed with PBE, using copper Kα.

Top 10 peaks for 15 to 90 degrees two-theta, in order of falling intensity:
two_theta	Rel. int.
36.16	100
35.35	80
51.74	70
22.65	65
32.00	63
39.30	46
62.06	45
61.31	32
39.64	31
68.80	23

Structure:
Cell: 10.323 6.048 4.803 Å, 90.00 90.00 90.00°
Element x y z (fractional)
1 Mg 0.000 0.000 0.000
2 Mg 0.000 0.500 0.000
3 Mg 0.223 0.250 0.492
4 Mg 0.277 0.750 0.992
5 Mg 0.500 0.000 0.500
6 Mg 0.500 0.500 0.500
7 Mg 0.723 0.250 0.008
8 Mg 0.777 0.750 0.508
9 Si 0.094 0.750 0.426
10 Si 0.406 0.250 0.926
11 Si 0.594 0.750 0.074
12 Si 0.906 0.250 0.574
13 O 0.053 0.250 0.722
14 O 0.092 0.750 0.766
15 O 0.163 0.533 0.277
16 O 0.163 0.967 0.277
17 O 0.337 0.033 0.777
18 O 0.337 0.467 0.777
19 O 0.408 0.250 0.266
20 O 0.447 0.750 0.222
21 O 0.553 0.250 0.778
22 O 0.592 0.750 0.734
23 O 0.663 0.533 0.223
24 O 0.663 0.967 0.223
25 O 0.837 0.033 0.723
26 O 0.837 0.467 0.723
27 O 0.908 0.250 0.234
28 O 0.947 0.750 0.278

=====

[2]
The following is a computed powder diffractogram of MgSiO3. It was derived from a crystal structure in the Materials Project, relaxed with PBE, using copper Kα.

Top 10 peaks for 15 to 90 degrees two-theta, in order of falling intensity:
two_theta	Rel. int.
29.32	100
34.33	59
27.25	53
35.01	39
35.96	34
59.82	26
48.55	20
42.86	18
64.64	17
34.46	14

Structure:
Cell: 6.244 6.244 7.041 Å, 108.76 108.76 58.46°
Element x y z (fractional)
1 Mg 0.230 0.770 0.750
2 Mg 0.251 0.749 0.250
3 Mg 0.749 0.251 0.750
4 Mg 0.770 0.230 0.250
5 Si 0.210 0.315 0.332
6 Si 0.315 0.210 0.832
7 Si 0.685 0.790 0.168
8 Si 0.790 0.685 0.668
9 O 0.105 0.168 0.886
10 O 0.116 0.506 0.763
11 O 0.168 0.105 0.386
12 O 0.266 0.556 0.449
13 O 0.444 0.734 0.051
14 O 0.494 0.884 0.737
15 O 0.506 0.116 0.263
16 O 0.556 0.266 0.949
17 O 0.734 0.444 0.551
18 O 0.832 0.895 0.614
19 O 0.884 0.494 0.237
20 O 0.895 0.832 0.114

=====

[3]
The following is a computed powder diffractogram of MgSiO3. It was derived from a crystal structure in the Materials Project, relaxed with PBE, using copper Kα.

Top 10 peaks for 15 to 90 degrees two-theta, in order of falling intensity:
two_theta	Rel. int.
30.41	100
36.79	91
65.94	56
30.19	53
28.36	50
59.93	46
42.92	37
32.37	33
56.26	28
66.09	28

Structure:
Cell: 9.484 8.483 4.913 Å, 90.00 98.21 90.00°
Element x y z (fractional)
1 Mg 0.223 0.030 0.076
2 Mg 0.223 0.470 0.576
3 Mg 0.270 0.659 0.091
4 Mg 0.270 0.841 0.591
5 Mg 0.730 0.159 0.409
6 Mg 0.730 0.341 0.909
7 Mg 0.777 0.530 0.424
8 Mg 0.777 0.970 0.924
9 Si 0.010 0.166 0.512
10 Si 0.010 0.334 0.012
11 Si 0.449 0.157 0.691
12 Si 0.449 0.343 0.191
13 Si 0.551 0.657 0.809
14 Si 0.551 0.843 0.309
15 Si 0.990 0.666 0.988
16 Si 0.990 0.834 0.488
17 O 0.103 0.193 0.846
18 O 0.103 0.307 0.346
19 O 0.106 0.504 0.905
20 O 0.106 0.996 0.405
21 O 0.115 0.687 0.349
22 O 0.115 0.813 0.849
23 O 0.364 0.014 0.799
24 O 0.364 0.486 0.299
25 O 0.376 0.651 0.768
26 O 0.376 0.849 0.268
27 O 0.397 0.184 0.354
28 O 0.397 0.316 0.854
29 O 0.603 0.684 0.146
30 O 0.603 0.816 0.646
31 O 0.624 0.151 0.732
32 O 0.624 0.349 0.232
33 O 0.636 0.514 0.701
34 O 0.636 0.986 0.201
35 O 0.885 0.187 0.151
36 O 0.885 0.313 0.651
37 O 0.894 0.004 0.595
38 O 0.894 0.496 0.095
39 O 0.897 0.693 0.654
40 O 0.897 0.807 0.154

=====

[4]
The following is a computed powder diffractogram of Mg3Si2O9. It was derived from a crystal structure in the Materials Project, relaxed with PBE, using copper Kα.

Top 10 peaks for 15 to 90 degrees two-theta, in order of falling intensity:
two_theta	Rel. int.
23.43	100
19.03	64
17.52	50
29.40	46
19.99	41
35.48	40
22.54	40
37.09	36
34.49	36
53.92	34

Structure:
Cell: 5.568 5.568 15.192 Å, 90.65 90.65 122.89°
Element x y z (fractional)
1 Mg 0.000 0.000 0.000
2 Mg 0.325 0.713 0.992
3 Mg 0.713 0.325 0.992
4 Si 0.016 0.690 0.805
5 Si 0.690 0.016 0.805
6 O 0.020 0.697 0.913
7 O 0.035 0.348 0.050
8 O 0.348 0.035 0.050
9 O 0.351 0.851 0.771
10 O 0.442 0.442 0.956
11 O 0.613 0.613 0.031
12 O 0.697 0.020 0.913
13 O 0.851 0.351 0.771
14 O 0.853 0.853 0.771